# 1
Theoretical X-ray powder pattern of AlCdInS4 for Cu Kα, from a PBE-relaxed structure.
Lines closer than 0.1° are merged.

The 10 most intense peaks (10° ≤ 2θ ≤ 80°), in order of falling intensity:
d/Å  I_rel
2.779  100.0
3.187  97.5
4.369  89.7
3.356  79.9
1.945  77.2
1.907  64.6
2.251  45.7
1.777  42.7
2.889  40.1
1.985  30.0

Structural model:
```
AlCdInS4
1.0
1.945 1.123 13.107
-1.945 1.123 13.107
0.000 -2.246 13.107
Al Cd In S
1 1 1 4
Cartesian
0.000 0.000 0.000
0.000 0.000 29.843
0.000 0.000 20.572
0.000 0.000 2.178
0.000 0.000 18.176
0.000 0.000 25.333
0.000 0.000 34.847
```



# 2
Theoretical X-ray powder pattern of Na6Ge2S7 for Cu Kα, from a PBE-relaxed structure.
Lines closer than 0.1° are merged.

The 10 most intense peaks (10° ≤ 2θ ≤ 80°), in order of falling intensity:
d/Å  I_rel
5.559  100.0
2.566  76.1
2.843  72.2
4.568  69.8
4.959  50.7
6.802  40.8
4.328  40.2
6.688  40.1
1.963  38.7
3.180  35.0

Structural model:
```
Na6Ge2S7
1.0
4.605 -5.268 0.000
4.605 5.268 0.000
-3.868 0.000 14.693
Na Ge S
12 4 14
Cartesian
0.000 0.000 0.000
-1.934 0.000 7.347
-1.166 2.345 12.659
1.705 4.451 11.020
1.914 1.539 6.269
0.767 -2.345 5.312
5.363 1.539 1.078
-0.019 -1.539 13.616
4.576 2.345 9.381
3.429 -1.539 8.424
3.639 -4.451 3.673
6.510 -2.345 2.034
0.679 0.865 9.403
2.613 -0.865 2.057
2.731 0.865 12.637
4.664 -0.865 5.290
-1.410 1.329 9.998
1.769 2.720 8.892
2.671 0.664 0.421
0.523 -1.329 2.651
1.640 2.720 13.148
0.738 -0.664 7.768
3.639 0.396 3.673
1.705 -0.396 11.020
4.606 0.664 6.926
3.703 -2.720 1.545
4.820 1.329 12.042
2.672 -0.664 14.272
3.574 -2.720 5.802
6.754 -1.329 4.696
```



# 3
Theoretical X-ray powder pattern of Ni3Ge2Pd for Cu Kα, from a PBE-relaxed structure.
Lines closer than 0.1° are merged.

The 10 most intense peaks (10° ≤ 2θ ≤ 80°), in order of falling intensity:
d/Å  I_rel
2.167  100.0
2.030  80.4
1.886  50.3
2.533  28.9
1.794  21.1
1.899  18.3
1.770  16.7
2.734  16.7
1.300  13.8
2.124  13.3

Structural model:
```
Ni3Ge2Pd
1.0
8.552 -1.886 0.000
8.552 1.886 0.000
-3.714 0.000 7.460
Ni Ge Pd
9 6 3
Cartesian
0.000 0.000 0.000
-0.611 0.000 5.142
1.594 0.000 3.526
4.805 0.000 0.619
7.222 0.000 1.157
6.169 0.000 6.302
8.585 0.000 6.841
11.796 0.000 3.933
14.001 0.000 2.318
-0.496 0.000 2.456
2.456 0.000 0.110
3.879 0.000 2.726
9.511 0.000 4.734
10.935 0.000 7.349
13.886 0.000 5.004
3.478 0.000 5.918
6.695 0.000 3.730
9.912 0.000 1.542
```



# 4
Theoretical X-ray powder pattern of Mg2BN2Cl for Cu Kα, from a PBE-relaxed structure.
Lines closer than 0.1° are merged.

The 10 most intense peaks (10° ≤ 2θ ≤ 80°), in order of falling intensity:
d/Å  I_rel
2.837  100.0
2.401  82.5
3.167  59.6
2.766  37.3
2.476  35.2
2.255  29.7
2.880  29.4
2.677  29.4
1.857  29.0
2.990  25.8

Structural model:
```
Mg2BN2Cl
1.0
6.691 0.000 0.000
0.000 9.834 0.000
0.000 0.000 10.659
Mg B N Cl
16 8 16 8
Cartesian
0.396 2.438 2.039
0.396 2.479 7.369
1.320 0.463 4.708
1.320 4.454 10.038
2.025 5.380 4.708
2.025 9.371 10.038
2.950 7.355 2.039
2.950 7.395 7.369
3.741 2.438 3.290
3.741 2.479 8.620
4.666 0.463 0.621
4.666 4.454 5.951
5.371 5.380 0.621
5.371 9.371 5.951
6.296 7.355 3.290
6.296 7.395 8.620
0.957 5.299 2.114
0.957 9.452 7.444
2.389 0.382 2.114
2.389 4.535 7.444
4.303 5.299 3.215
4.303 9.452 8.545
5.734 0.382 3.215
5.734 4.535 8.545
0.477 0.563 6.629
0.477 4.353 1.299
1.370 6.296 2.916
1.370 8.455 8.246
1.976 1.379 2.916
1.976 3.538 8.246
2.868 5.480 6.629
2.868 9.270 1.299
3.823 0.563 9.360
3.823 4.353 4.030
4.716 6.296 2.413
4.716 8.455 7.743
5.321 1.379 2.413
5.321 3.538 7.743
6.214 5.480 9.360
6.214 9.270 4.030
0.437 1.551 10.222
0.437 3.366 4.893
2.909 6.468 10.222
2.909 8.283 4.893
3.782 1.551 5.767
3.782 3.366 0.437
6.254 6.468 5.767
6.254 8.283 0.437
```